# La2Pm7Er2
Calculated X-ray powder pattern, copper Kα. Input: a crystal structure in Alexandria, relaxed with PBE.

Structure:
Unit cell a=3.625 b=18.206 c=11.775 alpha=90.00 beta=90.00 gamma=90.00
Space group Imm2 (No. 44)
Symmetry-distinct sites (fractional):
La (0.000, 0.204, 0.000) [4 per cell]
Pm (0.000, 0.000, 0.070) [2 per cell]
Pm (0.000, 0.116, 0.507) [4 per cell]
Pm (0.000, 0.332, 0.749) [4 per cell]
Pm (0.000, 0.334, 0.250) [4 per cell]
Er (0.000, 0.000, 0.760) [2 per cell]
Er (0.000, 0.500, 0.832) [2 per cell]

Top 12 peaks for 2θ from 10° to 90°, sorted by position:
| two_theta | intensity | index |
| --- | --- | --- |
| 25.61 | 23 | 0 5 1 |
| 29.38 | 63 | 0 6 0 |
| 30.36 | 34 | 0 0 4 |
| 31.95 | 11 | 0 2 4 |
| 32.52 | 100 | 1 3 2 |
| 33.22 | 22 | 0 6 2 |
| 33.58 | 22 | 0 5 3 |
| 35.11 | 16 | 1 2 3 |
| 50.34 | 19 | 2 0 0 |
| 51.75 | 13 | 1 9 0 |
| 55.34 | 31 | 1 3 6 |
| 61.19 | 17 | 1 9 4 |